This entry pairs a crystal structure of Mg4Al9CuSi9O36 with its computed X-ray diffraction stick pattern. Radiation: λ = 1.5418 Å (Cu Kα). Structure: a DFT-relaxed cell (PBE, the Materials Project).
Lines closer than 0.1° are merged.

Largest 12 diffraction maxima, most intense first, 10 to 90 degrees two-theta:
21.44 deg, I = 100.0
10.33 deg, I = 65.8
29.11 deg, I = 57.2
29.29 deg, I = 41.9
33.48 deg, I = 29.1
13.94 deg, I = 24.8
18.72 deg, I = 23.5
28.08 deg, I = 23.4
33.62 deg, I = 21.6
53.54 deg, I = 21.3
26.03 deg, I = 18.1
28.17 deg, I = 16.3

Structure:
```
Mg4Al9CuSi9O36
1.0
9.8322 0.0000 0.0000
0.0000 9.4797 0.0000
-4.8844 0.0000 8.5926
Mg Al Cu Si O
4 9 1 9 36
Direct
0.1609 0.0000 0.3217
0.1620 0.4957 0.3244
0.8380 0.4957 0.6756
0.8391 0.0000 0.6783
0.0000 0.0005 0.0000
0.0000 0.0015 0.5000
0.0000 0.4947 0.5000
0.1411 0.7498 0.8991
0.2428 0.2481 0.1048
0.5000 0.4986 0.5000
0.5000 0.9991 0.5000
0.7572 0.2481 0.8952
0.8589 0.7498 0.1009
0.5000 0.7616 0.0000
0.0000 0.4967 0.0000
0.1254 0.2483 0.7298
0.2309 0.7481 0.6172
0.3852 0.2502 0.6165
0.4001 0.7495 0.2730
0.5999 0.7495 0.7270
0.6148 0.2502 0.3835
0.7691 0.7481 0.3828
0.8746 0.2483 0.2702
0.0135 0.3896 0.6532
0.0141 0.1080 0.6519
0.0156 0.8910 0.8625
0.0290 0.5948 0.8789
0.1475 0.4023 0.1268
0.1485 0.6072 0.5096
0.1500 0.8900 0.5132
0.1551 0.1032 0.1396
0.2058 0.2480 0.9141
0.2273 0.7448 0.7794
0.2511 0.2509 0.6671
0.3181 0.7537 0.0836
0.3546 0.3899 0.5030
0.3591 0.1059 0.5118
0.3615 0.6064 0.3431
0.3626 0.8891 0.3475
0.4125 0.7479 0.6592
0.4409 0.2586 0.2396
0.5591 0.2586 0.7604
0.5875 0.7479 0.3408
0.6374 0.8891 0.6525
0.6385 0.6064 0.6569
0.6409 0.1059 0.4882
0.6454 0.3899 0.4970
0.6819 0.7537 0.9164
0.7489 0.2509 0.3329
0.7727 0.7448 0.2206
0.7942 0.2480 0.0859
0.8449 0.1032 0.8604
0.8500 0.8900 0.4868
0.8525 0.4023 0.8732
0.8515 0.6072 0.4904
0.9710 0.5948 0.1211
0.9844 0.8910 0.1375
0.9859 0.1080 0.3481
0.9865 0.3896 0.3468
```

---

This entry pairs a crystal structure of MgAlCu3Se4 with its computed X-ray diffraction stick pattern. Radiation: λ = 1.5418 Å (Cu Kα). Structure: a DFT-relaxed cell (PBE, the Materials Project).
Lines closer than 0.1° are merged.

Largest 12 diffraction maxima, most intense first, 10 to 90 degrees two-theta:
26.69 deg, I = 100.0
44.28 deg, I = 85.7
52.46 deg, I = 43.7
81.50 deg, I = 26.5
71.02 deg, I = 16.8
15.31 deg, I = 14.9
64.42 deg, I = 13.3
87.64 deg, I = 12.9
47.13 deg, I = 3.2
57.43 deg, I = 3.2
34.67 deg, I = 3.1
66.65 deg, I = 1.1

Structure:
```
MgAlCu3Se4
1.0
5.7855 0.0000 0.0000
0.0000 5.7855 0.0000
0.0000 0.0000 5.7855
Mg Al Cu Se
1 1 3 4
Direct
0.0000 0.0000 0.0000
0.5000 0.5000 0.5000
0.0000 0.5000 0.5000
0.5000 0.0000 0.5000
0.5000 0.5000 0.0000
0.2581 0.2581 0.7419
0.2581 0.7419 0.2581
0.7419 0.2581 0.2581
0.7419 0.7419 0.7419
```

---

This entry pairs a crystal structure of Mn2AlCu3 with its computed X-ray diffraction stick pattern. Radiation: λ = 1.5418 Å (Cu Kα). Structure: a DFT-relaxed cell (PBE, the Materials Project).
Lines closer than 0.1° are merged.

Largest 12 diffraction maxima, most intense first, 10 to 90 degrees two-theta:
43.89 deg, I = 100.0
45.96 deg, I = 36.6
37.07 deg, I = 30.2
43.75 deg, I = 23.2
71.65 deg, I = 19.5
22.41 deg, I = 14.9
78.95 deg, I = 14.3
79.27 deg, I = 14.1
45.74 deg, I = 13.0
71.48 deg, I = 10.9
66.99 deg, I = 10.0
53.52 deg, I = 6.5

Structure:
```
Mn2AlCu3
1.0
2.4172 1.3956 3.9671
-2.4172 1.3956 3.9671
0.0000 -2.7911 3.9671
Mn Al Cu
2 1 3
Direct
0.1260 0.1260 0.1260
0.8740 0.8740 0.8740
0.5000 0.5000 0.5000
0.0000 0.5000 0.5000
0.5000 0.0000 0.5000
0.5000 0.5000 0.0000
```

---

This entry pairs a crystal structure of Mn2Al2Cu with its computed X-ray diffraction stick pattern. Radiation: λ = 1.5418 Å (Cu Kα). Structure: a DFT-relaxed cell (PBE, the Materials Project).
Lines closer than 0.1° are merged.

Largest 12 diffraction maxima, most intense first, 10 to 90 degrees two-theta:
42.36 deg, I = 100.0
10.38 deg, I = 82.8
46.95 deg, I = 41.1
84.01 deg, I = 24.4
50.16 deg, I = 17.3
68.57 deg, I = 12.2
74.14 deg, I = 10.2
53.81 deg, I = 7.2
48.22 deg, I = 7.1
89.65 deg, I = 5.7
84.66 deg, I = 5.4
33.15 deg, I = 4.2

Structure:
```
Mn2Al2Cu
1.0
-1.3686 1.3686 8.5189
1.3686 -1.3686 8.5189
1.3686 1.3686 -8.5189
Mn Al Cu
2 2 1
Direct
0.0000 0.0000 0.0000
0.4254 0.4254 0.0000
0.2025 0.2025 0.0000
0.8296 0.8296 0.0000
0.6029 0.6029 0.0000
```

---

This entry pairs a crystal structure of MnAlCuPd with its computed X-ray diffraction stick pattern. Radiation: λ = 1.5418 Å (Cu Kα). Structure: a DFT-relaxed cell (PBE, the Materials Project).
Lines closer than 0.1° are merged.

Largest 12 diffraction maxima, most intense first, 10 to 90 degrees two-theta:
42.01 deg, I = 100.0
42.22 deg, I = 50.2
77.05 deg, I = 30.6
29.51 deg, I = 17.6
61.24 deg, I = 15.8
76.61 deg, I = 14.7
33.02 deg, I = 10.6
29.22 deg, I = 9.4
14.49 deg, I = 7.8
60.59 deg, I = 7.6
52.17 deg, I = 7.5
68.82 deg, I = 3.5

Structure:
```
MnAlCuPd
1.0
3.0271 0.0000 0.0000
0.0000 3.0271 0.0000
0.0000 0.0000 6.1130
Mn Al Cu Pd
1 1 1 1
Direct
0.0000 0.0000 0.0000
0.0000 0.0000 0.5220
0.5000 0.5000 0.7599
0.5000 0.5000 0.2772
```

---

This entry pairs a crystal structure of Al5CuMo2 with its computed X-ray diffraction stick pattern. Radiation: λ = 1.5418 Å (Cu Kα). Structure: a DFT-relaxed cell (PBE, the Materials Project).
Lines closer than 0.1° are merged.

Largest 12 diffraction maxima, most intense first, 10 to 90 degrees two-theta:
40.26 deg, I = 100.0
48.29 deg, I = 29.2
21.50 deg, I = 27.5
84.61 deg, I = 22.3
67.23 deg, I = 20.5
25.98 deg, I = 20.4
43.82 deg, I = 19.1
33.62 deg, I = 17.8
78.10 deg, I = 12.9
87.00 deg, I = 10.3
10.70 deg, I = 9.2
53.43 deg, I = 9.1

Structure:
```
Al5CuMo2
1.0
3.7695 0.0000 0.0000
0.0000 3.7695 0.0000
0.0000 0.0000 8.2647
Al Cu Mo
5 1 2
Direct
0.0000 0.0000 0.0000
0.0000 0.5000 0.2623
0.0000 0.5000 0.7377
0.5000 0.0000 0.2623
0.5000 0.0000 0.7377
0.5000 0.5000 0.5000
0.0000 0.0000 0.5000
0.5000 0.5000 0.0000
```

---

This entry pairs a crystal structure of NbAlCu with its computed X-ray diffraction stick pattern. Radiation: λ = 1.5418 Å (Cu Kα). Structure: a DFT-relaxed cell (PBE, the Materials Project).
Lines closer than 0.1° are merged.

Largest 12 diffraction maxima, most intense first, 10 to 90 degrees two-theta:
39.21 deg, I = 100.0
42.57 deg, I = 85.3
42.85 deg, I = 73.4
42.02 deg, I = 42.5
39.41 deg, I = 35.5
43.60 deg, I = 31.4
36.01 deg, I = 29.9
72.63 deg, I = 27.5
35.35 deg, I = 26.1
10.92 deg, I = 22.9
30.07 deg, I = 21.5
68.42 deg, I = 20.0

Structure:
```
NbAlCu
1.0
8.1020 0.0000 0.0000
0.0000 2.5392 4.2949
0.0000 -2.5392 4.2949
Nb Al Cu
4 4 4
Direct
0.1832 0.0000 0.0000
0.3123 0.6718 0.6718
0.6877 0.6718 0.6718
0.8168 0.0000 0.0000
0.2365 0.3317 0.3317
0.5000 0.1700 0.6847
0.5000 0.6847 0.1700
0.7635 0.3317 0.3317
0.0000 0.5092 0.5092
0.0000 0.5101 0.9889
0.0000 0.9889 0.5101
0.5000 0.1727 0.1727
```

---

This entry pairs a crystal structure of NdAl2Cu9 with its computed X-ray diffraction stick pattern. Radiation: λ = 1.5418 Å (Cu Kα). Structure: a DFT-relaxed cell (PBE, the Materials Project).
Lines closer than 0.1° are merged.

Largest 12 diffraction maxima, most intense first, 10 to 90 degrees two-theta:
39.11 deg, I = 100.0
39.71 deg, I = 67.0
46.81 deg, I = 32.8
71.67 deg, I = 25.0
29.71 deg, I = 24.5
41.95 deg, I = 23.4
34.63 deg, I = 22.1
60.04 deg, I = 20.1
45.04 deg, I = 15.6
48.66 deg, I = 14.8
24.81 deg, I = 11.8
85.57 deg, I = 9.6

Structure:
```
NdAl2Cu9
1.0
-5.0755 5.0755 3.3059
5.0755 -5.0755 3.3059
5.0755 5.0755 -3.3059
Nd Al Cu
2 4 18
Direct
0.3750 0.6250 0.7500
0.6250 0.3750 0.2500
0.0000 0.0000 0.0000
0.0000 0.0000 0.5000
0.0000 0.5000 0.0000
0.5000 0.0000 0.5000
0.1250 0.8750 0.2500
0.1384 0.5585 0.3344
0.1384 0.8040 0.5799
0.1960 0.2759 0.3344
0.1960 0.8616 0.9201
0.2759 0.1960 0.8344
0.2759 0.4415 0.0799
0.4415 0.2759 0.5799
0.4415 0.8616 0.1656
0.5585 0.1384 0.8344
0.5585 0.7241 0.4201
0.7241 0.5585 0.9201
0.7241 0.8040 0.1656
0.8040 0.1384 0.0799
0.8040 0.7241 0.6656
0.8616 0.1960 0.4201
0.8616 0.4415 0.6656
0.8750 0.1250 0.7500
```

---

This entry pairs a crystal structure of AlCuNi6 with its computed X-ray diffraction stick pattern. Radiation: λ = 1.5418 Å (Cu Kα). Structure: a DFT-relaxed cell (PBE, the Materials Project).
Lines closer than 0.1° are merged.

Largest 12 diffraction maxima, most intense first, 10 to 90 degrees two-theta:
44.27 deg, I = 100.0
51.58 deg, I = 46.5
75.95 deg, I = 26.9
12.48 deg, I = 4.1
28.16 deg, I = 2.6
25.13 deg, I = 1.7
38.09 deg, I = 1.4
35.84 deg, I = 1.4
53.29 deg, I = 0.9
46.17 deg, I = 0.7
58.21 deg, I = 0.6
59.81 deg, I = 0.6

Structure:
```
AlCuNi6
1.0
3.5428 0.0000 0.0000
0.0000 3.5428 0.0000
0.0000 0.0000 7.0913
Al Cu Ni
1 1 6
Direct
0.0000 0.0000 0.0000
0.0000 0.0000 0.5000
0.0000 0.5000 0.2506
0.0000 0.5000 0.7494
0.5000 0.0000 0.2506
0.5000 0.0000 0.7494
0.5000 0.5000 0.0000
0.5000 0.5000 0.5000
```

---

This entry pairs a crystal structure of Al2Cu2Ni with its computed X-ray diffraction stick pattern. Radiation: λ = 1.5418 Å (Cu Kα). Structure: a DFT-relaxed cell (PBE, the Materials Project).
Lines closer than 0.1° are merged.

Largest 12 diffraction maxima, most intense first, 10 to 90 degrees two-theta:
44.02 deg, I = 100.0
43.25 deg, I = 53.8
79.87 deg, I = 30.9
62.82 deg, I = 16.5
30.21 deg, I = 15.8
81.48 deg, I = 13.8
31.25 deg, I = 7.2
65.18 deg, I = 6.8
54.32 deg, I = 5.6
12.37 deg, I = 4.4
71.28 deg, I = 2.2
49.06 deg, I = 2.1

Structure:
```
Al2Cu2Ni
1.0
2.9584 0.0000 0.0000
0.0000 2.9584 0.0000
0.0000 0.0000 14.3119
Al Cu Ni
4 4 2
Direct
0.0000 0.0000 0.0000
0.0000 0.0000 0.1953
0.0000 0.0000 0.4036
0.0000 0.0000 0.6141
0.5000 0.5000 0.3007
0.5000 0.5000 0.5070
0.5000 0.5000 0.7100
0.5000 0.5000 0.9005
0.0000 0.0000 0.8045
0.5000 0.5000 0.1010
```